Diffraction record for Pm2MnGeO6. The PXRD pattern is calculated, not measured: it uses DFT lattice parameters and positions (GGA+U) and Cu Kα, 1.54184 Å.
Kinematic intensities with the Lorentz-polarization factor, no thermal factor.

Cell and atoms:
a b c (Å): 5.314 5.314 4.859
angles (deg): 90.00 90.00 90.00
Space group P4mm (No. 99)
One atom of each set of equivalent atoms:
Pm 0.000 0.500 0.000 (multiplicity 2)
Mn 0.000 0.000 0.552 (multiplicity 1)
Ge 0.500 0.500 0.586 (multiplicity 1)
O 0.000 0.000 0.134 (multiplicity 1)
O 0.265 0.265 0.709 (multiplicity 4)
O 0.500 0.500 0.215 (multiplicity 1)

Main lines, by angle (2θ from 10° to 90°):
| 2theta | intensity |
| --- | --- |
| 18.26 | 21 |
| 30.06 | 100 |
| 33.73 | 36 |
| 37.00 | 10 |
| 38.62 | 14 |
| 44.40 | 15 |
| 48.45 | 22 |
| 50.93 | 25 |
| 58.08 | 31 |
| 62.46 | 19 |
| 67.79 | 12 |
| 82.78 | 13 |